Starting from a structure optimized by DFT (PBE+U), the PXRD pattern of MoH12PdN4O4 was computed for Cu Kα X-rays.

The 10 most intense peaks (15° ≤ 2θ ≤ 90°), by angle:
2theta  Rel. int.  h k l
20.08  100  1 1 2
22.41  34  0 0 4
23.63  36  2 0 0
32.79  29  2 0 4
37.98  15  1 1 6
39.51  35  3 1 2
40.81  9  2 2 4
51.64  18  3 1 6
53.90  9  4 0 4
59.65  10  4 2 4

Structure:
a b c (Å): 7.5306 7.5306 15.8718
angles (deg): 90.00 90.00 90.00
Space group I4_1/amd (No. 141, origin choice 2)
Unique sites:
Mo 0.0000 0.2500 0.3750 x4
H 0.0000 0.0546 0.1924 x16
H 0.1101 0.0823 0.1012 x32
Pd 0.0000 0.2500 0.8750 x4
N 0.0000 0.0243 0.1286 x16
O 0.0000 0.0531 0.3106 x16